(1)
Computed powder XRD pattern of Mg16Zr6Sc7 for copper Kα, from DFT lattice parameters and positions (GGA-PBE).
Intensities are scaled so that the largest is 1000.

Atomic structure:
abc: 13.930 13.930 13.930
angles: 90.00 90.00 90.00
Space group Fm-3m (No. 225)
One atom of each set of equivalent atoms:
Mg  0.120  0.120  0.120 (multiplicity 32)
Mg  0.162  0.162  0.338 (multiplicity 32)
Zr  0.000  0.000  0.324 (multiplicity 24)
Sc  0.000  0.000  0.000 (multiplicity 4)
Sc  0.000  0.250  0.250 (multiplicity 24)

Top 10 peaks for 10 to 90 degrees two-theta, in order of falling intensity:
2θ 33.42, intensity 1000; 2θ 36.49, intensity 548; 2θ 31.46, intensity 445; 2θ 27.92, intensity 407; 2θ 38.79, intensity 403; 2θ 11.00, intensity 354; 2θ 66.82, intensity 298; 2θ 56.01, intensity 293; 2θ 60.96, intensity 159; 2θ 57.28, intensity 157



(2)
Computed powder XRD pattern of MgZr3Sc for copper Kα, from DFT lattice parameters and positions (GGA-PBE).
Intensities are scaled so that the largest is 1000.

Atomic structure:
abc: 3.116 4.967 31.519
angles: 90.00 90.00 90.00
Space group Amm2 (No. 38)
One atom of each set of equivalent atoms:
Mg  0.000  0.000  0.000 (multiplicity 2)
Mg  0.000  0.000  0.270 (multiplicity 2)
Zr  0.000  0.000  0.364 (multiplicity 2)
Zr  0.000  0.000  0.554 (multiplicity 2)
Zr  0.000  0.000  0.651 (multiplicity 2)
Zr  0.000  0.000  0.902 (multiplicity 2)
Zr  0.500  0.000  0.092 (multiplicity 2)
Zr  0.500  0.000  0.187 (multiplicity 2)
Sc  0.500  0.000  0.455 (multiplicity 2)
Sc  0.500  0.000  0.815 (multiplicity 2)

Top 10 peaks for 10 to 90 degrees two-theta, in order of falling intensity:
2θ 36.18, intensity 1000; 2θ 11.23, intensity 606; 2θ 35.05, intensity 564; 2θ 71.48, intensity 252; 2θ 36.77, intensity 248; 2θ 34.08, intensity 248; 2θ 52.53, intensity 171; 2θ 42.90, intensity 134; 2θ 65.07, intensity 132; 2θ 26.72, intensity 128



(3)
Computed powder XRD pattern of Mg3Zr12Sc for copper Kα, from DFT lattice parameters and positions (GGA-PBE).
Intensities are scaled so that the largest is 1000.

Atomic structure:
abc: 5.315 5.315 12.942
angles: 90.00 90.00 90.00
Space group P4/mmm (No. 123)
One atom of each set of equivalent atoms:
Mg  0.000  0.000  0.000 (multiplicity 1)
Mg  0.000  0.000  0.250 (multiplicity 2)
Zr  0.000  0.500  0.124 (multiplicity 4)
Zr  0.000  0.500  0.374 (multiplicity 4)
Zr  0.500  0.500  0.000 (multiplicity 1)
Zr  0.500  0.500  0.250 (multiplicity 2)
Zr  0.500  0.500  0.500 (multiplicity 1)
Sc  0.000  0.000  0.500 (multiplicity 1)

Top 10 peaks for 10 to 90 degrees two-theta, in order of falling intensity:
2θ 36.65, intensity 1000; 2θ 33.73, intensity 631; 2θ 62.25, intensity 405; 2θ 48.44, intensity 221; 2θ 67.82, intensity 155; 2θ 16.68, intensity 147; 2θ 77.92, intensity 103; 2θ 80.89, intensity 93; 2θ 82.59, intensity 88; 2θ 70.93, intensity 67



(4)
Computed powder XRD pattern of MgSe for copper Kα, from DFT lattice parameters and positions (GGA-PBE).
Intensities are scaled so that the largest is 1000.

Atomic structure:
abc: 10.875 10.875 4.289
angles: 90.00 90.00 90.00
Space group I4/m (No. 87)
One atom of each set of equivalent atoms:
Mg  0.130  0.705  0.000 (multiplicity 8)
Se  0.105  0.280  0.000 (multiplicity 8)

Top 10 peaks for 10 to 90 degrees two-theta, in order of falling intensity:
2θ 27.73, intensity 1000; 2θ 46.83, intensity 725; 2θ 25.91, intensity 677; 2θ 16.30, intensity 600; 2θ 22.28, intensity 323; 2θ 36.97, intensity 297; 2θ 11.51, intensity 241; 2θ 40.13, intensity 237; 2θ 50.13, intensity 215; 2θ 36.42, intensity 206



(5)
Computed powder XRD pattern of MgSe4 for copper Kα, from DFT lattice parameters and positions (GGA-PBE).
Intensities are scaled so that the largest is 1000.

Atomic structure:
abc: 4.0649 4.0649 9.3455
angles: 90.00 90.00 120.00
Space group P-3m1 (No. 164)
One atom of each set of equivalent atoms:
Mg  0.0000  0.0000  0.0000 (multiplicity 1)
Se  0.3333  0.6667  0.1475 (multiplicity 2)
Se  0.3333  0.6667  0.4039 (multiplicity 2)

Top 10 peaks for 10 to 90 degrees two-theta, in order of falling intensity:
2θ 27.07, intensity 1000; 2θ 38.58, intensity 496; 2θ 44.58, intensity 397; 2θ 46.66, intensity 297; 2θ 25.30, intensity 282; 2θ 60.38, intensity 246; 2θ 52.93, intensity 150; 2θ 71.64, intensity 121; 2θ 83.64, intensity 108; 2θ 78.11, intensity 101



(6)
Computed powder XRD pattern of Mg5Se for copper Kα, from DFT lattice parameters and positions (GGA-PBE).
Intensities are scaled so that the largest is 1000.

Atomic structure:
abc: 3.545 3.545 10.607
angles: 90.00 90.00 90.00
Space group P4/mmm (No. 123)
One atom of each set of equivalent atoms:
Mg  0.000  0.000  0.000 (multiplicity 1)
Mg  0.000  0.000  0.355 (multiplicity 2)
Mg  0.500  0.500  0.174 (multiplicity 2)
Se  0.500  0.500  0.500 (multiplicity 1)

Top 10 peaks for 10 to 90 degrees two-theta, in order of falling intensity:
2θ 35.85, intensity 1000; 2θ 64.43, intensity 321; 2θ 51.56, intensity 118; 2θ 16.72, intensity 106; 2θ 86.90, intensity 96; 2θ 25.14, intensity 92; 2θ 26.51, intensity 88; 2θ 42.58, intensity 65; 2θ 76.03, intensity 59; 2θ 36.84, intensity 56



(7)
Computed powder XRD pattern of Mg4Se3 for copper Kα, from DFT lattice parameters and positions (GGA-PBE).
Intensities are scaled so that the largest is 1000.

Atomic structure:
abc: 5.431 5.431 5.431
angles: 90.00 90.00 90.00
Space group Pm-3m (No. 221)
One atom of each set of equivalent atoms:
Mg  0.000  0.000  0.000 (multiplicity 1)
Mg  0.000  0.500  0.500 (multiplicity 3)
Se  0.000  0.000  0.500 (multiplicity 3)

Top 10 peaks for 10 to 90 degrees two-theta, in order of falling intensity:
2θ 32.99, intensity 1000; 2θ 47.34, intensity 708; 2θ 16.32, intensity 313; 2θ 28.47, intensity 309; 2θ 78.81, intensity 305; 2θ 23.16, intensity 272; 2θ 58.91, intensity 242; 2θ 88.12, intensity 233; 2θ 37.01, intensity 157; 2θ 56.17, intensity 136



(8)
Computed powder XRD pattern of Mg4Se3 for copper Kα, from DFT lattice parameters and positions (GGA-PBE).
Intensities are scaled so that the largest is 1000.

Atomic structure:
abc: 5.761 5.761 5.761
angles: 90.00 90.00 90.00
Space group P-43m (No. 215)
One atom of each set of equivalent atoms:
Mg  0.227  0.227  0.773 (multiplicity 4)
Se  0.000  0.500  0.500 (multiplicity 3)

Top 10 peaks for 10 to 90 degrees two-theta, in order of falling intensity:
2θ 26.80, intensity 1000; 2θ 44.48, intensity 610; 2θ 52.70, intensity 429; 2θ 21.82, intensity 224; 2θ 34.82, intensity 196; 2θ 81.93, intensity 180; 2θ 15.38, intensity 174; 2θ 71.37, intensity 172; 2θ 31.05, intensity 148; 2θ 88.11, intensity 130



(9)
Computed powder XRD pattern of Mg3Se4 for copper Kα, from DFT lattice parameters and positions (GGA-PBE).
Intensities are scaled so that the largest is 1000.

Atomic structure:
abc: 5.426 5.426 5.426
angles: 90.00 90.00 90.00
Space group Pm-3m (No. 221)
One atom of each set of equivalent atoms:
Mg  0.000  0.000  0.500 (multiplicity 3)
Se  0.000  0.000  0.000 (multiplicity 1)
Se  0.000  0.500  0.500 (multiplicity 3)

Top 10 peaks for 10 to 90 degrees two-theta, in order of falling intensity:
2θ 33.02, intensity 1000; 2θ 28.49, intensity 731; 2θ 47.39, intensity 709; 2θ 56.23, intensity 317; 2θ 78.90, intensity 309; 2θ 58.97, intensity 242; 2θ 88.23, intensity 238; 2θ 76.54, intensity 131; 2θ 69.27, intensity 111; 2θ 16.34, intensity 26



(10)
Computed powder XRD pattern of Mg7Se5 for copper Kα, from DFT lattice parameters and positions (GGA-PBE).
Intensities are scaled so that the largest is 1000.

Atomic structure:
abc: 9.015 9.015 7.088
angles: 90.00 90.00 90.00
Space group I4mm (No. 107)
One atom of each set of equivalent atoms:
Mg  0.000  0.000  0.000 (multiplicity 2)
Mg  0.000  0.245  0.409 (multiplicity 8)
Mg  0.000  0.500  0.159 (multiplicity 4)
Se  0.000  0.000  0.609 (multiplicity 2)
Se  0.202  0.202  0.135 (multiplicity 8)

Top 10 peaks for 10 to 90 degrees two-theta, in order of falling intensity:
2θ 37.97, intensity 1000; 2θ 32.36, intensity 836; 2θ 25.42, intensity 628; 2θ 25.13, intensity 478; 2θ 27.99, intensity 442; 2θ 56.48, intensity 333; 2θ 40.01, intensity 318; 2θ 38.17, intensity 280; 2θ 44.45, intensity 272; 2θ 49.05, intensity 255



(11)
Computed powder XRD pattern of Mg3Se5 for copper Kα, from DFT lattice parameters and positions (GGA-PBE).
Intensities are scaled so that the largest is 1000.

Atomic structure:
abc: 7.844 8.031 8.137
angles: 84.42 65.32 63.77
Space group P1 (No. 1)
One atom of each set of equivalent atoms:
Mg  0.000  0.000  0.000 (multiplicity 1)
Mg  0.036  0.575  0.136 (multiplicity 1)
Mg  0.188  0.373  0.572 (multiplicity 1)
Mg  0.395  0.864  0.164 (multiplicity 1)
Mg  0.611  0.450  0.657 (multiplicity 1)
Mg  0.786  0.885  0.671 (multiplicity 1)
Se  0.125  0.946  0.532 (multiplicity 1)
Se  0.182  0.210  0.058 (multiplicity 1)
Se  0.328  0.685  0.963 (multiplicity 1)
Se  0.412  0.578  0.423 (multiplicity 1)
Se  0.439  0.197  0.751 (multiplicity 1)
Se  0.536  0.276  0.254 (multiplicity 1)
Se  0.779  0.813  0.000 (multiplicity 1)
Se  0.812  0.114  0.362 (multiplicity 1)
Se  0.877  0.596  0.486 (multiplicity 1)
Se  0.932  0.224  0.755 (multiplicity 1)

Top 10 peaks for 10 to 90 degrees two-theta, in order of falling intensity:
2θ 28.31, intensity 1000; 2θ 26.04, intensity 778; 2θ 34.84, intensity 697; 2θ 23.95, intensity 689; 2θ 27.98, intensity 605; 2θ 43.19, intensity 580; 2θ 24.99, intensity 527; 2θ 45.68, intensity 489; 2θ 32.78, intensity 479; 2θ 22.77, intensity 446



(12)
Computed powder XRD pattern of Mg5Se3 for copper Kα, from DFT lattice parameters and positions (GGA-PBE).
Intensities are scaled so that the largest is 1000.

Atomic structure:
abc: 6.956 7.726 8.803
angles: 64.89 78.96 63.62
Space group P-1 (No. 2)
One atom of each set of equivalent atoms:
Mg  0.074  0.412  0.233 (multiplicity 2)
Mg  0.219  0.090  0.896 (multiplicity 2)
Mg  0.276  0.879  0.478 (multiplicity 2)
Mg  0.300  0.444  0.536 (multiplicity 2)
Mg  0.400  0.445  0.855 (multiplicity 2)
Se  0.063  0.197  0.575 (multiplicity 2)
Se  0.211  0.702  0.025 (multiplicity 2)
Se  0.350  0.094  0.162 (multiplicity 2)

Top 10 peaks for 10 to 90 degrees two-theta, in order of falling intensity:
2θ 28.28, intensity 1000; 2θ 26.25, intensity 957; 2θ 25.63, intensity 951; 2θ 18.04, intensity 716; 2θ 28.80, intensity 692; 2θ 31.69, intensity 687; 2θ 34.80, intensity 662; 2θ 43.03, intensity 662; 2θ 37.01, intensity 599; 2θ 28.44, intensity 598